Computed PXRD pattern
Compound: Tl5InF8
Radiation: λ = 1.5418 Å (Cu Kα)
Structure: a crystal structure in Alexandria, relaxed with GGA-PBE
Neutral-atom scattering factors, no anomalous dispersion.

Most intense lines, 10 to 80 degrees two-theta, in order of rising 2θ:
2θ = 26.1°, intensity 53, hkl 1 1 2; 2θ = 27.3°, intensity 100, hkl 2 1 1; 2θ = 30.7°, intensity 15, hkl 2 0 2; 2θ = 33.3°, intensity 24, hkl 1 0 3; 2θ = 35.6°, intensity 18, hkl 3 0 1; 2θ = 35.9°, intensity 32, hkl 1 3 0; 2θ = 40.5°, intensity 20, hkl 1 2 3; 2θ = 48.2°, intensity 15, hkl 2 0 4; 2θ = 51.7°, intensity 14, hkl 4 2 0; 2θ = 52.5°, intensity 18, hkl 3 2 3

Structural model:
```
data_Tl5InF8
_chemical_formula_sum 'Tl10 In2 F16'
_space_group_name_H-M_alt 'I -4'
_space_group_IT_number 82
_space_group_name_Hall 'I -4'
_cell_length_a 7.911
_cell_length_b 7.911
_cell_length_c 8.597
_cell_angle_alpha 90.00
_cell_angle_beta 90.00
_cell_angle_gamma 90.00
loop_
_atom_site_label
_atom_site_type_symbol
_atom_site_fract_x
_atom_site_fract_y
_atom_site_fract_z
_atom_site_occupancy
Tl1 Tl 0.000 0.000 0.000 1
Tl2 Tl 0.120 0.265 0.380 1
In1 In 0.000 0.500 0.750 1
F1 F 0.058 0.338 0.974 1
F2 F 0.076 0.246 0.677 1
```